[1]
# Hf7Pt3
Computed powder X-ray diffraction pattern, Cu Kα, 1.54184 Å. Input: the PBE geometry in Alexandria.
Lines closer than 0.1° are merged.

Cell: 9.1553 9.1553 5.8167 Å, 90.00 90.00 120.00°
Space group P6_3mc (No. 186)
One atom of each set of equivalent atoms:
Hf1 0.0816 0.5408 0.0000 (multiplicity 6)
Hf2 0.1381 0.2763 0.2878 (multiplicity 6)
Hf3 0.3333 0.6667 0.4404 (multiplicity 2)
Pt1 0.1887 0.3775 0.7273 (multiplicity 6)

Peak list (10 most intense, 2θ from 10° to 90°, by intensity)
2θ (°)  Rel. int.  index
33.64  100  2 1 1
38.39  77  2 0 2
39.37  76  2 2 0
37.37  70  3 0 1
32.80  35  1 0 2
43.35  26  2 1 2
76.85  25  5 2 1
60.52  23  5 0 1
33.92  22  3 0 0
55.40  22  4 1 1

[2]
# HfPt4
Computed powder X-ray diffraction pattern, Cu Kα, 1.54184 Å. Input: the PBE geometry in Alexandria.
Lines closer than 0.1° are merged.

Cell: 4.0096 4.0096 20.2344 Å, 90.00 90.00 90.00°
Space group P4/mmm (No. 123)
One atom of each set of equivalent atoms:
Hf1 0.0000 0.0000 0.1007 (multiplicity 2)
Hf2 0.0000 0.0000 0.3039 (multiplicity 2)
Pt1 0.0000 0.0000 0.5000 (multiplicity 1)
Pt2 0.0000 0.5000 0.0000 (multiplicity 2)
Pt3 0.0000 0.5000 0.1995 (multiplicity 4)
Pt4 0.0000 0.5000 0.3984 (multiplicity 4)
Pt5 0.5000 0.5000 0.0996 (multiplicity 2)
Pt6 0.5000 0.5000 0.2991 (multiplicity 2)
Pt7 0.5000 0.5000 0.5000 (multiplicity 1)

Peak list (8 most intense, 2θ from 10° to 90°, by intensity)
2θ (°)  Rel. int.  index
38.78  100  1 1 5
45.23  33  2 0 0
79.16  26  3 1 5
65.55  22  2 0 10
44.79  17  0 0 10
78.53  13  1 1 15
83.21  11  2 2 10
65.89  11  2 2 0

[3]
# Hf2Pt3
Computed powder X-ray diffraction pattern, Cu Kα, 1.54184 Å. Input: the PBE geometry in Alexandria.
Lines closer than 0.1° are merged.

Cell: 10.7340 4.0941 8.4742 Å, 90.00 90.00 90.00°
Space group Pnma (No. 62)
One atom of each set of equivalent atoms:
Hf1 0.0140 0.2500 0.1686 (multiplicity 4)
Hf2 0.1931 0.7500 0.4107 (multiplicity 4)
Pt1 0.0605 0.2500 0.5991 (multiplicity 4)
Pt2 0.1606 0.7500 0.0621 (multiplicity 4)
Pt3 0.2214 0.7500 0.7308 (multiplicity 4)

Peak list (10 most intense, 2θ from 10° to 90°, by intensity)
2θ (°)  Rel. int.  index
38.73  100  0 1 3
40.18  86  4 1 0
31.51  58  1 1 2
44.25  57  0 2 0
46.69  43  4 0 3
41.63  31  4 1 1
66.28  31  4 2 3
39.65  28  3 1 2
34.95  27  3 1 1
32.76  21  3 0 2

[4]
# Hf2PtRh4
Computed powder X-ray diffraction pattern, Cu Kα, 1.54184 Å. Input: the PBE geometry in Alexandria.
Lines closer than 0.1° are merged.

Cell: 4.8482 7.3091 6.8482 Å, 90.00 106.99 90.00°
Space group P2_1/c (No. 14)
One atom of each set of equivalent atoms:
Hf1 0.0997 0.0375 0.2434 (multiplicity 4)
Pt1 0.5000 0.0000 0.0000 (multiplicity 2)
Rh1 0.2294 0.7030 0.0626 (multiplicity 4)
Rh2 0.3428 0.1651 0.6268 (multiplicity 4)

Peak list (10 most intense, 2θ from 10° to 90°, by intensity)
2θ (°)  Rel. int.  index
37.76  100  1 2 -2
39.23  94  2 1 -1
37.99  73  1 0 2
42.12  60  1 1 -3
39.46  52  0 3 1
46.06  46  1 3 1
46.39  34  2 2 0
29.32  30  1 1 1
62.12  21  0 2 4
40.02  19  1 1 2

[5]
# Hf2Pt7Rh2
Computed powder X-ray diffraction pattern, Cu Kα, 1.54184 Å. Input: the PBE geometry in Alexandria.
Lines closer than 0.1° are merged.

Cell: 3.9704 7.8441 11.9927 Å, 90.00 90.00 90.00°
Space group Immm (No. 71)
One atom of each set of equivalent atoms:
Hf1 0.0000 0.0000 0.1691 (multiplicity 4)
Pt1 0.0000 0.2433 0.3405 (multiplicity 8)
Pt2 0.0000 0.5000 0.1670 (multiplicity 4)
Pt3 0.0000 0.5000 0.5000 (multiplicity 2)
Rh1 0.0000 0.2572 0.0000 (multiplicity 4)

Peak list (10 most intense, 2θ from 10° to 90°, by intensity)
2θ (°)  Rel. int.  index
39.38  100  1 2 3
45.70  17  2 0 0
45.37  16  0 0 6
46.30  16  0 4 0
80.23  13  3 2 3
79.75  12  1 2 9
81.10  12  1 6 3
84.73  11  2 4 6
66.37  11  2 0 6
66.83  11  0 4 6

[6]
# Hf2Pt3Rh
Computed powder X-ray diffraction pattern, Cu Kα, 1.54184 Å. Input: the PBE geometry in Alexandria.
Lines closer than 0.1° are merged.

Cell: 5.6096 13.5172 5.6083 Å, 90.00 90.00 90.00°
Space group Ibam (No. 72)
One atom of each set of equivalent atoms:
Hf1 0.2503 0.1646 0.0000 (multiplicity 8)
Pt1 0.0000 0.0000 0.2500 (multiplicity 4)
Pt2 0.2463 0.3586 0.0000 (multiplicity 8)
Rh1 0.0000 0.5000 0.2500 (multiplicity 4)

Peak list (10 most intense, 2θ from 10° to 90°, by intensity)
2θ (°)  Rel. int.  index
41.86  100  2 4 0
34.63  70  2 2 0
45.75  59  2 0 2
62.38  33  2 6 2
40.02  30  0 6 0
81.94  29  2 4 4
31.91  28  2 0 0
66.70  19  0 0 4
80.72  16  0 6 4
78.56  16  2 10 0

[7]
# Hf8PtRh5
Computed powder X-ray diffraction pattern, Cu Kα, 1.54184 Å. Input: the PBE geometry in Alexandria.
Lines closer than 0.1° are merged.

Cell: 6.7639 6.8061 6.8111 Å, 106.07 106.66 106.50°
Space group P1 (No. 1)
One atom of each set of equivalent atoms:
Hf1 0.0000 0.0000 0.0000 (multiplicity 1)
Hf2 0.0412 0.1928 0.6113 (multiplicity 1)
Hf3 0.2232 0.8333 0.3592 (multiplicity 1)
Hf4 0.3935 0.4728 0.1407 (multiplicity 1)
Hf5 0.4672 0.6539 0.7216 (multiplicity 1)
Hf6 0.5900 0.0807 0.1761 (multiplicity 1)
Hf7 0.8047 0.4136 0.9438 (multiplicity 1)
Hf8 0.8722 0.6138 0.5353 (multiplicity 1)
Pt1 0.4888 0.2820 0.4982 (multiplicity 1)
Rh1 0.0757 0.3816 0.3222 (multiplicity 1)
Rh2 0.1892 0.6904 0.9222 (multiplicity 1)
Rh3 0.3543 0.0929 0.8125 (multiplicity 1)
Rh4 0.6731 0.9618 0.6236 (multiplicity 1)
Rh5 0.7781 0.7956 0.2232 (multiplicity 1)

Peak list (10 most intense, 2θ from 10° to 90°, by intensity)
2θ (°)  Rel. int.  index
36.33  100  1 -2 2
36.14  62  -2 2 1
34.23  54  1 -1 2
34.32  51  2 1 -1
33.97  47  -1 2 1
32.93  43  2 0 -2
44.04  40  -3 1 2
41.48  34  1 0 -3
41.60  33  0 3 -1
61.45  32  1 -4 3

[8]
# Hf7Pt2Rh2
Computed powder X-ray diffraction pattern, Cu Kα, 1.54184 Å. Input: the PBE geometry in Alexandria.
Lines closer than 0.1° are merged.

Cell: 3.3908 14.2017 9.2197 Å, 90.00 90.00 90.00°
Space group Imm2 (No. 44)
One atom of each set of equivalent atoms:
Hf1 0.0000 0.0000 0.0000 (multiplicity 2)
Hf2 0.0000 0.1169 0.5910 (multiplicity 4)
Hf3 0.0000 0.3151 0.3706 (multiplicity 4)
Hf4 0.0000 0.3724 0.7372 (multiplicity 4)
Pt1 0.0000 0.0000 0.3549 (multiplicity 2)
Pt2 0.0000 0.5000 0.2526 (multiplicity 2)
Rh1 0.0000 0.2343 0.0698 (multiplicity 4)

Peak list (10 most intense, 2θ from 10° to 90°, by intensity)
2θ (°)  Rel. int.  index
37.99  100  1 4 1
34.80  40  0 3 3
33.41  40  1 1 2
39.58  19  1 0 3
54.10  18  2 0 0
33.00  18  0 5 1
65.95  13  2 3 3
41.65  12  1 2 3
42.95  11  0 6 2
32.48  10  1 3 0

Number 5 is which compound?
Hf2Pt7Rh2